Entry 1:
For AgPtF6, a structure optimized by DFT (GGA-PBE) gives the computed XRD peak list in this record (copper Kα).
Lines closer than 0.1° are merged.

```
data_AgPtF6
_symmetry_space_group_name_H-M 'F -4 3 m'
_symmetry_Int_Tables_number 216
_symmetry_space_group_name_Hall 'F -4 2 3'
_cell_length_a 7.4797
_cell_length_b 7.4797
_cell_length_c 7.4797
_cell_angle_alpha 90.00
_cell_angle_beta 90.00
_cell_angle_gamma 90.00
loop_
_atom_site_label
_atom_site_type_symbol
_atom_site_fract_x
_atom_site_fract_y
_atom_site_fract_z
Ag1 Ag 0.0000 0.0000 0.0000
Pt1 Pt 0.2500 0.2500 0.2500
F1 F 0.0064 0.2500 0.7500
```

The 6 most intense peaks (2θ from 10° to 80°), low angle first:
- hkl 1 1 1, 2θ = 20.57°, d 4.318, I = 100
- hkl 2 2 0, 2θ = 33.90°, d 2.644, I = 64
- hkl 3 1 1, 2θ = 39.98°, d 2.255, I = 58
- hkl 4 0 0, 2θ = 48.70°, d 1.870, I = 28
- hkl 3 3 1, 2θ = 53.39°, d 1.716, I = 26
- hkl 4 2 2, 2θ = 60.65°, d 1.527, I = 25

---

Entry 2:
For LuMgCoAs, a structure optimized by DFT (GGA-PBE) gives the computed XRD peak list in this record (copper Kα).
Lines closer than 0.1° are merged.

```
data_LuMgCoAs
_symmetry_space_group_name_H-M 'F -4 3 m'
_symmetry_Int_Tables_number 216
_symmetry_space_group_name_Hall 'F -4 2 3'
_cell_length_a 6.4961
_cell_length_b 6.4961
_cell_length_c 6.4961
_cell_angle_alpha 90.00
_cell_angle_beta 90.00
_cell_angle_gamma 90.00
loop_
_atom_site_label
_atom_site_type_symbol
_atom_site_fract_x
_atom_site_fract_y
_atom_site_fract_z
Lu1 Lu 0.0000 0.0000 0.0000
Mg1 Mg 0.2500 0.2500 0.2500
Co1 Co 0.2500 0.2500 0.7500
As1 As 0.0000 0.0000 0.5000
```

The 6 most intense peaks (2θ from 10° to 80°), low angle first:
- hkl 1 1 1, 2θ = 23.72°, d 3.751, I = 22
- hkl 2 0 0, 2θ = 27.46°, d 3.248, I = 29
- hkl 2 2 0, 2θ = 39.23°, d 2.297, I = 100
- hkl 4 0 0, 2θ = 56.68°, d 1.624, I = 17
- hkl 4 2 0, 2θ = 64.11°, d 1.453, I = 12
- hkl 4 2 2, 2θ = 71.10°, d 1.326, I = 34